Diffraction record for BaSr3Ir2. The PXRD pattern is theoretical, not measured: it uses a crystal structure in Alexandria, relaxed with PBE and Cu Ka.
Neutral-atom scattering factors, no anomalous dispersion.

Most intense lines, 2θ from 10° to 90°, in order of rising 2θ:
d (Å), 2θ/deg, I (rel.)
8.166, 10.83, 100
6.265, 14.14, 31
5.573, 15.90, 20
3.490, 25.52, 19
3.240, 27.53, 25
3.157, 28.27, 22
3.131, 28.51, 26
2.787, 32.12, 15
2.717, 32.97, 19
2.481, 36.20, 16
2.271, 39.69, 18
1.844, 49.42, 23

Crystal structure
a = 9.663 Å, b = 9.663 Å, c = 12.821 Å
α = 118.70°, β = 118.70°, γ = 27.19°
Fractional coordinates of all 12 atoms:
1 Ba 0.157 0.157 0.241
2 Ba 0.843 0.843 0.759
3 Sr 0.165 0.165 0.752
4 Sr 0.410 0.410 0.554
5 Sr 0.411 0.411 0.067
6 Sr 0.589 0.589 0.933
7 Sr 0.590 0.590 0.446
8 Sr 0.835 0.835 0.248
9 Ir 0.240 0.240 0.025
10 Ir 0.240 0.240 0.526
11 Ir 0.760 0.760 0.474
12 Ir 0.760 0.760 0.975



Diffraction record for Ba3SrIr. The PXRD pattern is theoretical, not measured: it uses a crystal structure in Alexandria, relaxed with PBE and Cu Ka.
Neutral-atom scattering factors, no anomalous dispersion.

Most intense lines, 2θ from 10° to 90°, in order of rising 2θ:
d (Å), 2θ/deg, I (rel.)
6.757, 13.10, 73
5.249, 16.89, 14
4.602, 19.29, 24
3.666, 24.28, 44
3.650, 24.39, 14
3.257, 27.39, 58
3.131, 28.50, 100
2.262, 39.84, 42
2.252, 40.03, 38
2.214, 40.75, 37
1.832, 49.78, 19
1.400, 66.80, 16

Crystal structure
a = 9.906 Å, b = 9.906 Å, c = 7.852 Å
α = 104.45°, β = 104.45°, γ = 126.92°
Fractional coordinates of all 10 atoms:
1 Ba 0.065 0.935 0.500
2 Ba 0.202 0.813 0.029
3 Ba 0.300 0.680 0.472
4 Ba 0.680 0.300 0.972
5 Ba 0.813 0.202 0.529
6 Ba 0.935 0.065 0.000
7 Sr 0.416 0.548 0.000
8 Sr 0.548 0.416 0.500
9 Ir 0.064 0.422 0.000
10 Ir 0.422 0.064 0.500



Diffraction record for Ba2Te4Ir. The PXRD pattern is theoretical, not measured: it uses a crystal structure in Alexandria, relaxed with PBE and Cu Ka.
Neutral-atom scattering factors, no anomalous dispersion.

Most intense lines, 2θ from 10° to 90°, in order of rising 2θ:
d (Å), 2θ/deg, I (rel.)
8.701, 10.17, 70
5.109, 17.36, 28
3.779, 23.54, 56
3.467, 25.70, 21
2.917, 30.65, 29
2.900, 30.83, 48
2.853, 31.35, 57
2.672, 33.53, 100
1.965, 46.19, 63
1.890, 48.15, 36
1.583, 58.27, 31
1.105, 88.48, 20

Crystal structure
a = 9.487 Å, b = 9.487 Å, c = 9.487 Å
α = 147.28°, β = 147.28°, γ = 46.96°
Fractional coordinates of all 7 atoms:
1 Ba 0.142 0.142 0.000
2 Ba 0.858 0.858 0.000
3 Te 0.000 0.500 0.500
4 Te 0.341 0.341 0.000
5 Te 0.500 0.000 0.500
6 Te 0.659 0.659 0.000
7 Ir 0.500 0.500 0.000